No. 1
Structure and calculated powder diffractogram of Pr5Mg4Pb (a structure optimized by DFT (PBE); copper Kα).

Top 10 peaks for 15° ≤ 2θ ≤ 90°, sorted by position:
- 3.926 Å, I 19
- 3.851 Å, I 5
- 3.646 Å, I 4
- 2.776 Å, I 100
- 2.267 Å, I 6
- 1.963 Å, I 18
- 1.756 Å, I 8
- 1.603 Å, I 38
- 1.388 Å, I 12
- 1.242 Å, I 16

Structure:
a b c (Å): 3.9276 3.9276 19.6186
angles (deg): 90.00 90.00 90.00
Sites, in units of the cell vectors:
Pr (0.0000, 0.0000, 0.0000)
Pr (0.0000, 0.0000, 0.1996)
Pr (0.0000, 0.0000, 0.3973)
Pr (0.0000, 0.0000, 0.6027)
Pr (0.0000, 0.0000, 0.8004)
Mg (0.5000, 0.5000, 0.0995)
Mg (0.5000, 0.5000, 0.2961)
Mg (0.5000, 0.5000, 0.7039)
Mg (0.5000, 0.5000, 0.9005)
Pb (0.5000, 0.5000, 0.5000)

=====

No. 2
Structure and calculated powder diffractogram of TcMo2Pb (a structure optimized by DFT (PBE); copper Kα).

Top 10 peaks for 15° ≤ 2θ ≤ 90°, sorted by position:
- 3.350 Å, I 21
- 2.648 Å, I 12
- 2.427 Å, I 100
- 2.345 Å, I 82
- 2.073 Å, I 31
- 2.061 Å, I 56
- 1.496 Å, I 16
- 1.462 Å, I 37
- 1.262 Å, I 12
- 1.255 Å, I 12

Structure:
a b c (Å): 2.9931 4.1469 5.6858
angles (deg): 90.00 90.11 90.00
Sites, in units of the cell vectors:
Tc (0.0000, 0.0000, 0.0000)
Mo (0.4965, 0.5000, 0.2099)
Mo (0.5035, 0.5000, 0.7901)
Pb (0.0000, 0.0000, 0.5000)

=====

No. 3
Structure and calculated powder diffractogram of KBa6Sr12 (a structure optimized by DFT (PBE); copper Kα).

Top 10 peaks for 15° ≤ 2θ ≤ 90°, sorted by position:
- 4.686 Å, I 15
- 3.506 Å, I 25
- 3.474 Å, I 100
- 3.311 Å, I 42
- 3.296 Å, I 35
- 3.165 Å, I 12
- 3.145 Å, I 11
- 2.458 Å, I 9
- 2.052 Å, I 10
- 1.935 Å, I 15

Structure:
a b c (Å): 10.4474 10.4474 10.4474
angles (deg): 89.56 89.56 89.56
Sites, in units of the cell vectors:
K (0.0000, 0.0000, 0.0000)
Ba (0.1150, 0.7328, 0.2686)
Ba (0.2672, 0.7314, 0.8850)
Ba (0.2686, 0.1150, 0.7328)
Ba (0.7314, 0.8850, 0.2672)
Ba (0.7328, 0.2686, 0.1150)
Ba (0.8850, 0.2672, 0.7314)
Sr (0.0418, 0.1560, 0.3777)
Sr (0.1560, 0.3777, 0.0418)
Sr (0.1998, 0.4759, 0.5635)
Sr (0.3777, 0.0418, 0.1560)
Sr (0.4365, 0.8002, 0.5241)
Sr (0.4759, 0.5635, 0.1998)
Sr (0.5241, 0.4365, 0.8002)
Sr (0.5635, 0.1998, 0.4759)
Sr (0.6223, 0.9582, 0.8440)
Sr (0.8002, 0.5241, 0.4365)
Sr (0.8440, 0.6223, 0.9582)
Sr (0.9582, 0.8440, 0.6223)